Diffraction record for La4Al3NiO12. The powder diffraction line list is calculated, not measured: it uses the PBE+U geometry in Alexandria and Cu Kα X-rays.
Kinematic intensities with the Lorentz-polarization factor, no thermal factor.

Structure:
```
La4Al3NiO12
1.0
-3.8277 3.8277 3.8277
3.8277 -3.8277 3.8277
3.8277 3.8277 -3.8277
La Al Ni O
4 3 1 12
Direct
0.0000 0.0000 0.5000
0.0000 0.5000 0.0000
0.5000 0.0000 0.0000
0.5000 0.5000 0.5000
0.0000 0.5000 0.5000
0.5000 0.0000 0.5000
0.5000 0.5000 0.0000
0.0000 0.0000 0.0000
0.0000 0.2559 0.2559
0.0000 0.7441 0.7441
0.2500 0.5000 0.7500
0.2500 0.7500 0.5000
0.2559 0.0000 0.2559
0.2559 0.2559 0.0000
0.5000 0.2500 0.7500
0.5000 0.7500 0.2500
0.7441 0.0000 0.7441
0.7441 0.7441 0.0000
0.7500 0.2500 0.5000
0.7500 0.5000 0.2500
```

Most intense lines, 2θ = 10–90°, by angle:
2theta  d_spacing  I/Imax
23.24  3.828  33.1
33.10  2.707  100.0
40.83  2.210  33.4
47.51  1.914  35.0
53.53  1.712  15.7
59.12  1.563  38.7
69.45  1.353  20.5
74.35  1.276  7.8
79.12  1.210  16.9
83.82  1.154  10.4